Entry 1:
# Er2ZrSc4
Calculated powder diffraction line list, Cu Kα (λ = 1.5418 Å). Input: a structure optimized by DFT (PBE).

Largest 10 diffraction maxima, by angle, 2θ = 10–90°:
Position (°2θ)  I_rel
14.36  53
19.18  25
30.76  75
33.91  43
34.80  100
35.60  97
45.13  25
47.69  22
54.60  35
65.85  36

Crystal structure
Unit cell a=5.8214 b=3.3616 c=18.6089 alpha=90.00 beta=95.98 gamma=90.00
Sites, in units of the cell vectors:
Er1 0.0000 0.0000 0.0000
Er2 0.0979 0.0000 0.2936
Er3 0.5000 0.5000 0.0000
Er4 0.5979 0.5000 0.2936
Zr1 0.1918 0.0000 0.5786
Zr2 0.6918 0.5000 0.5786
Sc1 0.2837 0.0000 0.8531
Sc2 0.3141 0.5000 0.4447
Sc3 0.3827 0.0000 0.1471
Sc4 0.4033 0.5000 0.7140
Sc5 0.7837 0.5000 0.8531
Sc6 0.8141 0.0000 0.4447
Sc7 0.8827 0.5000 0.1471
Sc8 0.9033 0.0000 0.7140



Entry 2:
# RbU2NiSe4
Calculated powder diffraction line list, Cu Kα (λ = 1.5418 Å). Input: a structure optimized by DFT (PBE).

Largest 10 diffraction maxima, by angle, 2θ = 10–90°:
Position (°2θ)  I_rel
12.51  35
13.73  60
22.49  65
28.76  47
29.46  72
31.47  100
34.00  43
39.31  45
42.89  73
44.72  38

Crystal structure
Unit cell a=7.5211 b=7.5211 c=14.1556 alpha=90.00 beta=90.00 gamma=148.74
Sites, in units of the cell vectors:
Rb1 0.1017 0.8983 0.7500
Rb2 0.8983 0.1017 0.2500
U1 0.3643 0.6357 0.5620
U2 0.3643 0.6357 0.9380
U3 0.6357 0.3643 0.0620
U4 0.6357 0.3643 0.4380
Ni1 0.1675 0.8325 0.2500
Ni2 0.8325 0.1675 0.7500
Se1 0.0000 0.0000 0.0000
Se2 0.0000 0.0000 0.5000
Se3 0.2648 0.7352 0.1137
Se4 0.2648 0.7352 0.3863
Se5 0.4224 0.5776 0.7500
Se6 0.5776 0.4224 0.2500
Se7 0.7352 0.2648 0.6137
Se8 0.7352 0.2648 0.8863